Record 1
Structure and calculated X-ray powder pattern of Sr2Cu2SbO7 (a GGA-PBE-relaxed structure; Cu Kα).

Top 10 peaks for 2θ = 10–80°, low angle first:
| d/Å | 2θ (°) | intensity |
| --- | --- | --- |
| 4.426 | 20.06 | 223 |
| 3.219 | 27.71 | 1000 |
| 2.830 | 31.61 | 616 |
| 2.656 | 33.75 | 301 |
| 2.618 | 34.25 | 313 |
| 2.588 | 34.66 | 298 |
| 2.465 | 36.45 | 251 |
| 1.864 | 48.85 | 190 |
| 1.841 | 49.52 | 347 |
| 1.513 | 61.27 | 245 |

Crystal structure
```
Sr2Cu2SbO7
1.0
-13.278 2.618 2.588
13.278 -2.618 2.588
13.278 2.618 -2.588
Sr Cu Sb O
4 4 2 14
Direct
0.000 0.139 0.139
0.000 0.361 0.360
0.000 0.639 0.640
0.000 0.861 0.861
0.499 0.060 0.558
0.499 0.441 0.938
0.503 0.560 0.062
0.503 0.941 0.442
0.444 0.210 0.734
0.477 0.710 0.266
0.001 0.325 0.826
0.001 0.675 0.177
0.002 0.176 0.676
0.002 0.827 0.327
0.196 0.331 0.364
0.490 0.678 0.163
0.490 0.828 0.312
0.498 0.175 0.174
0.498 0.825 0.823
0.500 0.327 0.324
0.500 0.676 0.673
0.516 0.178 0.688
0.516 0.328 0.837
0.967 0.831 0.636
```



Record 2
Structure and calculated X-ray powder pattern of Sr2CuSbO6 (a GGA-PBE-relaxed structure; Cu Kα).

Top 10 peaks for 2θ = 10–80°, low angle first:
| d/Å | 2θ (°) | intensity |
| --- | --- | --- |
| 4.621 | 19.21 | 55 |
| 4.002 | 22.21 | 28 |
| 2.830 | 31.62 | 1000 |
| 2.413 | 37.26 | 31 |
| 2.311 | 38.98 | 24 |
| 2.001 | 45.32 | 344 |
| 1.836 | 49.65 | 14 |
| 1.634 | 56.31 | 389 |
| 1.415 | 66.03 | 204 |
| 1.266 | 75.06 | 167 |

Crystal structure
```
Sr2CuSbO6
1.0
0.000 4.002 4.002
4.002 0.000 4.002
4.002 4.002 0.000
Sr Cu Sb O
2 1 1 6
Direct
0.250 0.250 0.250
0.750 0.750 0.750
0.000 0.000 0.000
0.500 0.500 0.500
0.250 0.250 0.750
0.250 0.750 0.250
0.250 0.750 0.750
0.750 0.250 0.250
0.750 0.250 0.750
0.750 0.750 0.250
```



Record 3
Structure and calculated X-ray powder pattern of YCu3Sb4O12 (a GGA-PBE-relaxed structure; Cu Kα).

Top 10 peaks for 2θ = 10–80°, low angle first:
| d/Å | 2θ (°) | intensity |
| --- | --- | --- |
| 3.963 | 22.43 | 104 |
| 2.802 | 31.93 | 1000 |
| 2.507 | 35.82 | 23 |
| 2.118 | 42.68 | 20 |
| 1.982 | 45.79 | 247 |
| 1.772 | 51.56 | 52 |
| 1.618 | 56.91 | 476 |
| 1.401 | 66.76 | 128 |
| 1.321 | 71.40 | 15 |
| 1.253 | 75.92 | 169 |

Crystal structure
```
YCu3Sb4O12
1.0
-3.963 3.963 3.963
3.963 -3.963 3.963
3.963 3.963 -3.963
Y Cu Sb O
1 3 4 12
Direct
0.000 0.000 0.000
0.000 0.500 0.500
0.500 0.000 0.500
0.500 0.500 0.000
0.000 0.000 0.500
0.000 0.500 0.000
0.500 0.000 0.000
0.500 0.500 0.500
0.126 0.294 0.832
0.168 0.461 0.294
0.168 0.874 0.706
0.294 0.168 0.461
0.294 0.832 0.126
0.461 0.294 0.168
0.539 0.706 0.832
0.706 0.168 0.874
0.706 0.832 0.539
0.832 0.126 0.294
0.832 0.539 0.706
0.874 0.706 0.168
```



Record 4
Structure and calculated X-ray powder pattern of ZnCu2Sb2O8 (a GGA-PBE-relaxed structure; Cu Kα).

Top 10 peaks for 2θ = 10–80°, low angle first:
| d/Å | 2θ (°) | intensity |
| --- | --- | --- |
| 4.412 | 20.13 | 362 |
| 4.057 | 21.91 | 379 |
| 3.186 | 28.00 | 442 |
| 3.174 | 28.12 | 493 |
| 3.063 | 29.15 | 1000 |
| 3.017 | 29.61 | 647 |
| 2.969 | 30.10 | 853 |
| 2.860 | 31.27 | 489 |
| 2.448 | 36.72 | 390 |
| 1.639 | 56.12 | 423 |

Crystal structure
```
ZnCu2Sb2O8
1.0
6.592 0.000 0.000
0.000 8.824 0.000
-0.438 0.000 12.253
Zn Cu Sb O
4 8 8 32
Direct
0.103 0.170 0.054
0.103 0.330 0.554
0.897 0.670 0.446
0.897 0.830 0.946
0.241 0.679 0.629
0.241 0.821 0.129
0.380 0.056 0.623
0.380 0.444 0.123
0.620 0.556 0.877
0.620 0.944 0.377
0.759 0.179 0.871
0.759 0.321 0.371
0.098 0.050 0.344
0.098 0.450 0.844
0.396 0.587 0.365
0.396 0.913 0.865
0.604 0.087 0.135
0.604 0.413 0.635
0.902 0.550 0.156
0.902 0.950 0.656
0.034 0.250 0.397
0.034 0.250 0.897
0.093 0.103 0.611
0.093 0.397 0.111
0.128 0.037 0.190
0.128 0.463 0.690
0.190 0.581 0.474
0.190 0.919 0.974
0.297 0.628 0.214
0.297 0.872 0.714
0.344 0.521 0.912
0.344 0.979 0.412
0.404 0.228 0.080
0.404 0.272 0.580
0.484 0.117 0.851
0.484 0.383 0.351
0.516 0.617 0.649
0.516 0.883 0.149
0.596 0.728 0.420
0.596 0.772 0.920
0.656 0.021 0.588
0.656 0.479 0.088
0.703 0.128 0.286
0.703 0.372 0.786
0.810 0.081 0.026
0.810 0.419 0.526
0.872 0.537 0.310
0.872 0.963 0.810
0.907 0.603 0.889
0.907 0.897 0.389
0.966 0.750 0.103
0.966 0.750 0.603
```



Record 5
Structure and calculated X-ray powder pattern of ZnCu3Sb4O12 (a GGA-PBE-relaxed structure; Cu Kα).

Top 10 peaks for 2θ = 10–80°, low angle first:
| d/Å | 2θ (°) | intensity |
| --- | --- | --- |
| 3.909 | 22.75 | 134 |
| 2.764 | 32.39 | 1000 |
| 2.472 | 36.34 | 23 |
| 2.090 | 43.30 | 15 |
| 1.955 | 46.46 | 246 |
| 1.748 | 52.33 | 64 |
| 1.596 | 57.77 | 468 |
| 1.382 | 67.81 | 129 |
| 1.303 | 72.54 | 19 |
| 1.236 | 77.16 | 168 |

Crystal structure
```
ZnCu3Sb4O12
1.0
-3.909 3.909 3.909
3.909 -3.909 3.909
3.909 3.909 -3.909
Zn Cu Sb O
1 3 4 12
Direct
0.000 0.000 0.000
0.000 0.500 0.500
0.500 0.000 0.500
0.500 0.500 0.000
0.000 0.000 0.500
0.000 0.500 0.000
0.500 0.000 0.000
0.500 0.500 0.500
0.127 0.302 0.825
0.175 0.476 0.302
0.175 0.873 0.698
0.302 0.175 0.476
0.302 0.825 0.127
0.476 0.302 0.175
0.524 0.698 0.825
0.698 0.175 0.873
0.698 0.825 0.524
0.825 0.127 0.302
0.825 0.524 0.698
0.873 0.698 0.175
```



Record 6
Structure and calculated X-ray powder pattern of ScCuO2 (a GGA-PBE-relaxed structure; Cu Kα).

Top 10 peaks for 2θ = 10–80°, low angle first:
| d/Å | 2θ (°) | intensity |
| --- | --- | --- |
| 2.862 | 31.25 | 287 |
| 2.729 | 32.82 | 1000 |
| 2.522 | 35.59 | 725 |
| 2.263 | 39.84 | 106 |
| 1.775 | 51.48 | 216 |
| 1.622 | 56.75 | 333 |
| 1.579 | 58.47 | 255 |
| 1.414 | 66.10 | 118 |
| 1.411 | 66.22 | 186 |
| 1.394 | 67.13 | 101 |

Crystal structure
```
ScCuO2
1.0
3.244 0.000 0.000
-1.622 2.810 0.000
0.000 0.000 11.449
Sc Cu O
2 2 4
Direct
0.000 0.000 0.000
0.000 0.000 0.500
0.333 0.667 0.250
0.667 0.333 0.750
0.333 0.667 0.089
0.333 0.667 0.411
0.667 0.333 0.589
0.667 0.333 0.911
```



Record 7
Structure and calculated X-ray powder pattern of ScCu2O4 (a GGA-PBE-relaxed structure; Cu Kα).

Top 10 peaks for 2θ = 10–80°, low angle first:
| d/Å | 2θ (°) | intensity |
| --- | --- | --- |
| 5.015 | 17.69 | 440 |
| 3.226 | 27.65 | 186 |
| 3.072 | 29.07 | 1000 |
| 2.749 | 32.58 | 393 |
| 2.507 | 35.81 | 256 |
| 2.456 | 36.58 | 791 |
| 2.048 | 44.22 | 247 |
| 1.992 | 45.53 | 273 |
| 1.613 | 57.10 | 620 |
| 1.547 | 59.77 | 236 |

Crystal structure
```
ScCu2O4
1.0
-2.818 2.818 5.497
2.818 -2.818 5.497
2.818 2.818 -5.497
Sc Cu O
2 4 8
Direct
0.375 0.625 0.750
0.625 0.375 0.250
0.000 0.000 0.000
0.000 0.000 0.500
0.000 0.500 0.000
0.500 0.000 0.500
0.221 0.744 0.477
0.233 0.256 0.977
0.256 0.233 0.477
0.256 0.779 0.023
0.744 0.221 0.977
0.744 0.767 0.523
0.767 0.744 0.023
0.779 0.256 0.523
```